For Nb2S4Cl9O5, a cell relaxed with GGA-PBE gives the computed powder X-ray diffraction pattern in this record (Cu Kα, 1.54184 Å).
Intensities are scaled so that the largest is 100.

The 10 most intense peaks (2θ from 15° to 90°), most intense first:
2θ = 16.32°, rel. 100.0; 2θ = 34.95°, rel. 66.9; 2θ = 41.87°, rel. 50.1; 2θ = 37.36°, rel. 48.9; 2θ = 18.20°, rel. 33.3; 2θ = 27.45°, rel. 32.7; 2θ = 22.88°, rel. 32.2; 2θ = 25.69°, rel. 26.8; 2θ = 29.83°, rel. 26.3; 2θ = 43.43°, rel. 25.3

Unit cell a=11.1582 b=11.1582 c=11.1582 alpha=140.22 beta=139.23 gamma=58.28
Positions (direct):
Nb (0.1076, 0.1076, 0.0000)
Nb (0.8924, 0.8924, 0.0000)
S (0.1279, 0.1782, 0.3061)
S (0.1279, 0.8218, 0.9498)
S (0.8721, 0.1782, 0.0502)
S (0.8721, 0.8218, 0.6939)
Cl (0.1489, 0.8558, 0.2930)
Cl (0.1605, 0.4375, 0.2770)
Cl (0.1605, 0.8835, 0.7230)
Cl (0.4372, 0.1442, 0.2930)
Cl (0.5000, 0.5000, 0.0000)
Cl (0.5628, 0.8558, 0.7070)
Cl (0.8395, 0.1165, 0.2770)
Cl (0.8395, 0.5625, 0.7230)
Cl (0.8511, 0.1442, 0.7070)
O (0.2491, 0.3278, 0.9213)
O (0.4066, 0.3278, 0.0787)
O (0.5000, 0.0000, 0.5000)
O (0.5934, 0.6722, 0.9213)
O (0.7509, 0.6722, 0.0787)



For Tm2Cd3Pd7, a cell relaxed with GGA-PBE gives the computed powder X-ray diffraction pattern in this record (Cu Kα, 1.54184 Å).
Intensities are scaled so that the largest is 100.

The 10 most intense peaks (2θ from 15° to 90°), most intense first:
2θ = 37.71°, rel. 100.0; 2θ = 37.62°, rel. 98.4; 2θ = 41.45°, rel. 38.1; 2θ = 41.47°, rel. 37.4; 2θ = 48.13°, rel. 26.1; 2θ = 73.21°, rel. 20.2; 2θ = 65.32°, rel. 19.3; 2θ = 65.40°, rel. 19.2; 2θ = 73.01°, rel. 19.0; 2θ = 82.77°, rel. 14.9

Unit cell a=4.8726 b=4.8735 c=9.7550 alpha=101.52 beta=101.39 gamma=101.77
Positions (direct):
Tm (0.1668, 0.1665, 0.3350)
Tm (0.8332, 0.8335, 0.6650)
Cd (0.0000, 0.0000, 0.0000)
Cd (0.3435, 0.3434, 0.6848)
Cd (0.6565, 0.6566, 0.3152)
Pd (0.0792, 0.5793, 0.1603)
Pd (0.2498, 0.7499, 0.4999)
Pd (0.4207, 0.9208, 0.8397)
Pd (0.5000, 0.5000, 0.0000)
Pd (0.5793, 0.0792, 0.1603)
Pd (0.7502, 0.2501, 0.5001)
Pd (0.9208, 0.4207, 0.8397)